For NaCe4Te6, a crystal structure in Alexandria, relaxed with GGA-PBE gives the theoretical powder XRD pattern in this record (Cu Kα).
Intensities are scaled so that the largest is 100.

Structure:
```
data_NaCe4Te6
_chemical_formula_sum 'Na2 Ce8 Te12'
_space_group_name_H-M_alt 'P 1'
_space_group_IT_number 1
_cell_length_a 8.8680
_cell_length_b 8.8680
_cell_length_c 8.8680
_cell_angle_alpha 90.82
_cell_angle_beta 90.82
_cell_angle_gamma 90.82
loop_
_space_group_symop_operation_xyz
'x,y,z'
loop_
_atom_site_label
_atom_site_type_symbol
_atom_site_fract_x
_atom_site_fract_y
_atom_site_fract_z
_atom_site_occupancy
Na1 Na 0.0000 0.0000 0.0000 1
Na2 Na 0.5000 0.5000 0.5000 1
Ce1 Ce 0.1414 0.7500 0.3586 1
Ce2 Ce 0.2500 0.2500 0.2500 1
Ce3 Ce 0.2500 0.6414 0.8586 1
Ce4 Ce 0.3586 0.1414 0.7500 1
Ce5 Ce 0.6414 0.8586 0.2500 1
Ce6 Ce 0.7500 0.3586 0.1414 1
Ce7 Ce 0.7500 0.7500 0.7500 1
Ce8 Ce 0.8586 0.2500 0.6414 1
Te1 Te 0.0602 0.9160 0.6782 1
Te2 Te 0.0840 0.3218 0.9398 1
Te3 Te 0.1782 0.4160 0.5602 1
Te4 Te 0.3218 0.9398 0.0840 1
Te5 Te 0.4160 0.5602 0.1782 1
Te6 Te 0.4398 0.8218 0.5840 1
Te7 Te 0.5602 0.1782 0.4160 1
Te8 Te 0.5840 0.4398 0.8218 1
Te9 Te 0.6782 0.0602 0.9160 1
Te10 Te 0.8218 0.5840 0.4398 1
Te11 Te 0.9160 0.6782 0.0602 1
Te12 Te 0.9398 0.0840 0.3218 1
```

Most intense lines, 10 to 90 degrees two-theta, in order of rising 2θ:
2θ 24.53, I 35; 2θ 24.89, I 23; 2θ 28.68, I 32; 2θ 30.04, I 100; 2θ 32.06, I 55; 2θ 33.48, I 90; 2θ 36.79, I 29; 2θ 37.72, I 38; 2θ 60.50, I 33; 2θ 64.52, I 21

---

For NaCeTe, a crystal structure in Alexandria, relaxed with GGA-PBE gives the theoretical powder XRD pattern in this record (Cu Kα).
Intensities are scaled so that the largest is 100.

Structure:
```
data_NaCeTe
_chemical_formula_sum 'Na2 Ce2 Te2'
_space_group_name_H-M_alt 'P 1'
_space_group_IT_number 1
_cell_length_a 9.5241
_cell_length_b 9.5241
_cell_length_c 9.5241
_cell_angle_alpha 30.90
_cell_angle_beta 30.90
_cell_angle_gamma 30.90
loop_
_space_group_symop_operation_xyz
'x,y,z'
loop_
_atom_site_label
_atom_site_type_symbol
_atom_site_fract_x
_atom_site_fract_y
_atom_site_fract_z
_atom_site_occupancy
Na1 Na 0.1321 0.1321 0.1321 1
Na2 Na 0.8679 0.8679 0.8679 1
Ce1 Ce 0.2963 0.2963 0.2963 1
Ce2 Ce 0.7037 0.7037 0.7037 1
Te1 Te 0.4169 0.4169 0.4169 1
Te2 Te 0.5831 0.5831 0.5831 1
```

Most intense lines, 10 to 90 degrees two-theta, in order of rising 2θ:
2θ 19.59, I 14; 2θ 20.48, I 73; 2θ 30.72, I 100; 2θ 33.33, I 23; 2θ 35.38, I 88; 2θ 36.79, I 14; 2θ 38.96, I 28; 2θ 47.55, I 29; 2θ 60.64, I 28; 2θ 63.52, I 16

---

For NaCe2Tl8, a crystal structure in Alexandria, relaxed with GGA-PBE gives the theoretical powder XRD pattern in this record (Cu Kα).
Intensities are scaled so that the largest is 100.

Structure:
```
data_NaCe2Tl8
_chemical_formula_sum 'Na1 Ce2 Tl8'
_space_group_name_H-M_alt 'P 1'
_space_group_IT_number 1
_cell_length_a 4.9440
_cell_length_b 4.9440
_cell_length_c 13.1131
_cell_angle_alpha 90.00
_cell_angle_beta 90.00
_cell_angle_gamma 90.00
loop_
_space_group_symop_operation_xyz
'x,y,z'
loop_
_atom_site_label
_atom_site_type_symbol
_atom_site_fract_x
_atom_site_fract_y
_atom_site_fract_z
_atom_site_occupancy
Na1 Na 0.0000 0.0000 0.0000 1
Ce1 Ce 0.0000 0.0000 0.3229 1
Ce2 Ce 0.0000 0.0000 0.6771 1
Tl1 Tl 0.0000 0.5000 0.1439 1
Tl2 Tl 0.0000 0.5000 0.5000 1
Tl3 Tl 0.0000 0.5000 0.8561 1
Tl4 Tl 0.5000 0.0000 0.1439 1
Tl5 Tl 0.5000 0.0000 0.5000 1
Tl6 Tl 0.5000 0.0000 0.8561 1
Tl7 Tl 0.5000 0.5000 0.3194 1
Tl8 Tl 0.5000 0.5000 0.6806 1
```

Most intense lines, 10 to 90 degrees two-theta, in order of rising 2θ:
2θ 28.94, I 16; 2θ 32.80, I 100; 2θ 36.34, I 42; 2θ 41.31, I 10; 2θ 50.75, I 10; 2θ 52.34, I 15; 2θ 56.18, I 16; 2θ 62.59, I 10; 2θ 63.16, I 31; 2θ 68.77, I 9